Diffraction record for Nd2Si2O7. The X-ray diffraction stick pattern is theoretical, not measured: it uses a crystal structure in OQMD, relaxed with PBE and Cu Kα (λ = 1.5418 Å).
Peak positions follow from Bragg's law for the DFT cell and can differ from measured ones.

Top 10 peaks for 2θ = 10–90°, sorted by position:
Position (°2θ)	d [Å]	Rel. int.	index
12.4	7.153	38	0 1 1
26.6	3.352	100	1 0 3
27.5	3.242	38	1 2 1
29.4	3.041	20	0 2 3
33.5	2.674	21	2 0 0
34.1	2.631	14	1 1 4
36.3	2.476	17	1 3 1
45.2	2.008	28	2 2 3
50.4	1.811	14	1 2 6
55.8	1.647	16	3 0 3

Cell and atoms:
Cell lengths 5.348, 8.591, 12.916 Å; angles 90.00, 90.00, 90.00 degrees
Fractional coordinates of all 44 atoms:
Nd1 0.013 0.051 0.230
Nd2 0.016 0.648 0.589
Nd3 0.484 0.352 0.089
Nd4 0.487 0.949 0.730
Nd5 0.513 0.449 0.770
Nd6 0.516 0.852 0.411
Nd7 0.984 0.148 0.911
Nd8 0.987 0.551 0.270
Si1 0.014 0.749 0.822
Si2 0.016 0.499 0.975
Si3 0.484 0.501 0.475
Si4 0.486 0.251 0.322
Si5 0.514 0.751 0.178
Si6 0.516 0.001 0.025
Si7 0.984 0.999 0.525
Si8 0.986 0.249 0.678
O1 0.011 0.681 0.941
O2 0.068 0.481 0.098
O3 0.082 0.932 0.822
O4 0.240 0.907 0.562
O5 0.245 0.676 0.755
O6 0.246 0.397 0.923
O7 0.248 0.214 0.738
O8 0.252 0.786 0.238
O9 0.254 0.603 0.423
O10 0.255 0.324 0.255
O11 0.260 0.093 0.062
O12 0.418 0.068 0.322
O13 0.432 0.519 0.598
O14 0.489 0.319 0.441
O15 0.511 0.819 0.059
O16 0.568 0.019 0.902
O17 0.582 0.568 0.178
O18 0.740 0.593 0.438
O19 0.745 0.824 0.245
O20 0.746 0.103 0.077
O21 0.748 0.286 0.262
O22 0.752 0.714 0.762
O23 0.754 0.897 0.577
O24 0.755 0.176 0.745
O25 0.760 0.407 0.938
O26 0.918 0.432 0.678
O27 0.932 0.981 0.402
O28 0.989 0.181 0.559